# Ac2Tl3CrO6
Computed X-ray diffraction stick pattern, Cu Kα (weighted mean of Kα1 and Kα2). Input: a cell relaxed with PBE+U.

Lattice parameters (Å, degrees): 6.3550 10.8253 6.6877 90.00 106.89 90.00
Space group C2/m (No. 12)
Unique sites:
Ac 0.0000 0.1683 0.0000
Tl 0.0000 0.0000 0.5000
Tl 0.0000 0.3431 0.5000
Cr 0.0000 0.5000 0.0000
O 0.1994 0.3584 0.1638
O 0.2209 0.5000 0.7984

Largest 10 diffraction maxima, low angle first, 10° ≤ 2θ ≤ 90°:
- 27.9 deg, I = 65, (0 0 2)
- 29.4 deg, I = 54, (2 0 0)
- 30.1 deg, I = 100, (1 3 -1)
- 33.9 deg, I = 99, (1 3 1)
- 34.3 deg, I = 50, (2 0 -2)
- 46.8 deg, I = 19, (2 0 2)
- 48.0 deg, I = 35, (1 3 -3)
- 49.9 deg, I = 34, (3 3 -1)
- 55.8 deg, I = 23, (1 3 3)
- 58.8 deg, I = 34, (3 3 -3)